For Li4Mn5O10, a crystal structure in the Materials Project, relaxed with GGA+U gives the computed powder diffraction line list in this record (Cu Kα).

Peak list (10 most intense, 10 to 90 degrees two-theta, sorted by position)
two_theta	I/Imax
12.3	48
18.0	100
18.3	35
22.5	25
26.4	18
26.6	16
29.8	20
41.7	57
43.1	55
43.7	52

Structural model:
```
Li4Mn5O10
1.0
6.585 0.000 0.000
-0.148 7.951 0.000
-3.282 -0.846 7.204
Li Mn O
8 10 20
Direct
0.094 0.092 0.416 Li
0.240 0.750 0.487 Li
0.318 0.299 0.235 Li
0.394 0.404 0.590 Li
0.606 0.596 0.410 Li
0.682 0.701 0.765 Li
0.760 0.250 0.513 Li
0.906 0.908 0.584 Li
0.000 0.000 0.000 Mn
0.043 0.548 0.689 Mn
0.147 0.652 0.108 Mn
0.347 0.852 0.882 Mn
0.461 0.952 0.309 Mn
0.500 0.500 0.000 Mn
0.539 0.048 0.691 Mn
0.653 0.148 0.118 Mn
0.853 0.348 0.892 Mn
0.957 0.452 0.311 Mn
0.038 0.773 0.832 O
0.056 0.351 0.534 O
0.149 0.449 0.935 O
0.149 0.875 0.240 O
0.250 0.962 0.656 O
0.253 0.515 0.346 O
0.353 0.072 0.086 O
0.365 0.606 0.759 O
0.432 0.153 0.466 O
0.444 0.739 0.136 O
0.556 0.261 0.864 O
0.568 0.847 0.534 O
0.635 0.394 0.241 O
0.647 0.928 0.914 O
0.747 0.485 0.654 O
0.750 0.038 0.344 O
0.851 0.125 0.760 O
0.851 0.551 0.065 O
0.944 0.649 0.466 O
0.962 0.227 0.168 O
```



For LiFe2OF5, a crystal structure in the Materials Project, relaxed with GGA+U gives the computed powder diffraction line list in this record (Cu Kα).

Peak list (10 most intense, 10 to 90 degrees two-theta, sorted by position)
two_theta	I/Imax
18.9	77
20.1	100
22.1	32
22.3	34
27.6	26
40.2	75
40.5	39
52.8	41
53.3	33
63.2	28

Structural model:
```
LiFe2OF5
1.0
4.701 0.000 0.000
0.102 8.821 0.000
0.018 4.397 7.649
Li Fe O F
3 6 3 15
Direct
0.000 0.000 0.000 Li
0.001 0.644 0.634 Li
0.026 0.282 0.347 Li
0.017 0.636 0.992 Fe
0.484 0.632 0.288 Fe
0.496 0.300 0.657 Fe
0.528 0.315 0.002 Fe
0.540 0.923 0.693 Fe
0.541 0.972 0.316 Fe
0.243 0.532 0.201 O
0.735 0.103 0.105 O
0.788 0.737 0.783 O
0.253 0.517 0.886 F
0.254 0.860 0.882 F
0.274 0.217 0.871 F
0.275 0.518 0.530 F
0.283 0.859 0.218 F
0.284 0.171 0.572 F
0.286 0.190 0.219 F
0.303 0.862 0.542 F
0.723 0.409 0.766 F
0.725 0.411 0.442 F
0.731 0.085 0.766 F
0.735 0.743 0.415 F
0.746 0.058 0.458 F
0.771 0.753 0.099 F
0.773 0.418 0.108 F
```



For BaPrMgMn2O6, a crystal structure in the Materials Project, relaxed with GGA+U gives the computed powder diffraction line list in this record (Cu Kα).

Peak list (10 most intense, 10 to 90 degrees two-theta, sorted by position)
two_theta	I/Imax
22.9	41
27.1	32
31.8	91
32.0	100
32.3	92
42.5	17
46.0	77
56.6	22
57.3	18
57.5	17

Structural model:
```
BaPrMgMn2O6
1.0
2.797 -2.790 0.000
2.797 2.790 0.000
-2.596 0.000 9.862
Ba Pr Mg Mn O
1 1 1 2 6
Direct
0.000 0.000 0.000 Ba
0.841 0.841 0.612 Pr
0.607 0.607 0.219 Mg
0.166 0.166 0.342 Mn
0.405 0.405 0.794 Mn
0.135 0.636 0.278 O
0.243 0.243 0.551 O
0.395 0.890 0.767 O
0.508 0.508 0.014 O
0.636 0.135 0.278 O
0.890 0.395 0.767 O
```